This entry pairs a crystal structure of LiY2Fe4O8 with its calculated X-ray powder pattern. Radiation: λ = 1.5418 Å (Cu Kα). Structure: a DFT-relaxed cell (PBE+U, Alexandria).
Kinematic intensities with the Lorentz-polarization factor, no thermal factor.

Cell and atoms:
```
LiY2Fe4O8
1.0
3.229 1.864 5.364
-3.229 1.864 5.364
0.000 -3.729 5.364
Li Y Fe O
1 2 4 8
direct
0.000 0.000 0.000
0.248 0.248 0.248
0.509 0.509 0.509
0.407 0.869 0.869
0.865 0.865 0.865
0.869 0.407 0.869
0.869 0.869 0.407
0.097 0.646 0.646
0.105 0.105 0.660
0.105 0.660 0.105
0.111 0.111 0.111
0.643 0.643 0.643
0.646 0.097 0.646
0.646 0.646 0.097
0.660 0.105 0.105
```

Largest 10 diffraction maxima, in order of rising 2θ, 10 to 90 degrees two-theta:
d 3.266, 27.31 deg, intensity 51
d 3.229, 27.62 deg, intensity 50
d 2.790, 32.08 deg, intensity 42
d 2.767, 32.36 deg, intensity 100
d 2.755, 32.49 deg, intensity 47
d 1.871, 48.65 deg, intensity 21
d 1.767, 51.73 deg, intensity 30
d 1.761, 51.92 deg, intensity 28
d 1.633, 56.34 deg, intensity 41
d 1.615, 57.04 deg, intensity 42